1.
The following is a calculated X-ray diffraction stick pattern of ZrUBe. It was derived from a GGA-PBE-relaxed structure, using Cu Kα X-rays.

Most intense lines, 15° ≤ 2θ ≤ 90°, low angle first:
17.2 deg, I = 66; 25.6 deg, I = 36; 34.1 deg, I = 56; 35.9 deg, I = 100; 39.8 deg, I = 21; 40.0 deg, I = 24; 43.8 deg, I = 29; 57.1 deg, I = 18; 59.5 deg, I = 21; 69.9 deg, I = 17

Crystal structure
```
ZrUBe
1.0
0.0000 4.7226 5.1605
2.2558 0.0000 5.1605
2.2558 4.7226 0.0000
Zr U Be
2 2 2
Cartesian
2.2558 4.7226 1.5656 Zr
2.2558 4.7226 8.7553 Zr
2.2558 3.0858 5.1605 U
2.2558 6.3594 5.1605 U
1.1279 2.3613 2.5802 Be
3.3838 7.0839 7.7407 Be
```


2.
The following is a calculated X-ray diffraction stick pattern of Be17V2. It was derived from a GGA-PBE-relaxed structure, using Cu Kα X-rays.

Most intense lines, 15° ≤ 2θ ≤ 90°, low angle first:
16.5 deg, I = 55; 22.0 deg, I = 26; 24.6 deg, I = 81; 25.2 deg, I = 27; 35.6 deg, I = 100; 43.4 deg, I = 47; 50.5 deg, I = 40; 50.8 deg, I = 74; 51.8 deg, I = 34; 74.5 deg, I = 27

Crystal structure
```
Be17V2
1.0
3.6141 2.0866 3.5283
-3.6141 2.0866 3.5283
0.0000 -4.1732 3.5283
Be V
17 2
Cartesian
-3.6141 0.0000 5.2925 Be
-1.0905 -2.2845 3.5283 Be
-1.8071 1.0433 1.7642 Be
-2.5237 0.1979 3.5283 Be
0.0000 0.0000 1.0659 Be
-1.7680 -1.0207 5.1672 Be
1.0905 -2.2845 3.5283 Be
-1.4332 2.0866 3.5283 Be
0.0000 -2.0415 5.4178 Be
-1.7680 1.0207 5.4178 Be
1.8071 1.0433 1.7642 Be
1.7680 -1.0207 5.1672 Be
0.0000 2.0415 5.1672 Be
2.5237 0.1979 3.5283 Be
1.4332 2.0866 3.5283 Be
1.7680 1.0207 5.4178 Be
0.0000 0.0000 9.5191 Be
0.0000 0.0000 3.5762 V
0.0000 0.0000 7.0088 V
```


3.
The following is a calculated X-ray diffraction stick pattern of Be2V. It was derived from a GGA-PBE-relaxed structure, using Cu Kα X-rays.

Most intense lines, 15° ≤ 2θ ≤ 90°, low angle first:
23.5 deg, I = 69; 25.3 deg, I = 32; 26.8 deg, I = 53; 34.8 deg, I = 25; 41.4 deg, I = 87; 45.5 deg, I = 100; 49.1 deg, I = 61; 50.0 deg, I = 25; 63.2 deg, I = 19; 78.4 deg, I = 34

Crystal structure
```
Be2V
1.0
4.3627 0.0000 0.0000
-2.1813 3.7782 0.0000
0.0000 0.0000 7.0372
Be V
8 4
Cartesian
0.0000 0.0000 0.0000 Be
0.0000 0.0000 3.5186 Be
0.0000 1.2943 1.7593 Be
-1.0605 3.1311 1.7593 Be
1.1209 0.6471 5.2779 Be
1.0605 3.1311 1.7593 Be
3.2418 0.6471 5.2779 Be
2.1813 2.4839 5.2779 Be
0.0000 2.5188 3.9947 V
0.0000 2.5188 6.5611 V
2.1813 1.2594 0.4761 V
2.1813 1.2594 3.0425 V
```


4.
The following is a calculated X-ray diffraction stick pattern of Be17VW. It was derived from a GGA-PBE-relaxed structure, using Cu Kα X-rays.

Most intense lines, 15° ≤ 2θ ≤ 90°, low angle first:
16.4 deg, I = 100; 22.0 deg, I = 48; 24.5 deg, I = 71; 25.3 deg, I = 22; 29.7 deg, I = 27; 35.5 deg, I = 67; 38.8 deg, I = 26; 41.7 deg, I = 21; 43.2 deg, I = 25; 50.7 deg, I = 35

Crystal structure
```
Be17VW
1.0
3.6294 2.0954 3.5231
-3.6294 2.0954 3.5231
0.0000 -4.1908 3.5231
Be V W
17 1 1
Cartesian
0.0000 0.0000 0.5660 Be
-1.0981 -2.3026 5.1564 Be
-2.5431 0.2003 5.1564 Be
0.0000 -2.0910 3.4036 Be
-1.8108 1.0455 3.4036 Be
0.0000 0.0000 2.6920 Be
-1.7798 -1.0276 6.7853 Be
1.0981 -2.3026 5.1564 Be
-1.4450 2.1023 5.1564 Be
0.0000 -2.0426 7.0462 Be
-1.7689 1.0213 7.0462 Be
1.8108 1.0455 3.4036 Be
1.7798 -1.0276 6.7853 Be
0.0000 2.0552 6.7853 Be
2.5431 0.2003 5.1564 Be
1.4450 2.1023 5.1564 Be
1.7689 1.0213 7.0462 Be
0.0000 0.0000 8.6128 V
0.0000 0.0000 5.2253 W
```


5.
The following is a calculated X-ray diffraction stick pattern of Be2V2W. It was derived from a GGA-PBE-relaxed structure, using Cu Kα X-rays.

Most intense lines, 15° ≤ 2θ ≤ 90°, low angle first:
20.3 deg, I = 85; 28.9 deg, I = 28; 35.6 deg, I = 66; 41.3 deg, I = 100; 46.5 deg, I = 43; 55.7 deg, I = 22; 67.8 deg, I = 24; 71.6 deg, I = 16; 75.4 deg, I = 22; 79.0 deg, I = 23

Crystal structure
```
Be2V2W
1.0
6.1811 0.0000 0.0000
0.0000 6.1811 0.0000
0.0000 0.0000 3.0868
Be V W
4 4 2
Cartesian
0.7205 2.3700 0.0000 Be
2.3700 5.4605 0.0000 Be
3.8111 0.7205 0.0000 Be
5.4605 3.8111 0.0000 Be
1.1116 4.2021 1.5434 V
1.9790 1.1116 1.5434 V
4.2021 5.0695 1.5434 V
5.0695 1.9790 1.5434 V
0.0000 0.0000 0.0000 W
3.0905 3.0905 0.0000 W
```


6.
The following is a calculated X-ray diffraction stick pattern of Be8V3W. It was derived from a GGA-PBE-relaxed structure, using Cu Kα X-rays.

Most intense lines, 15° ≤ 2θ ≤ 90°, low angle first:
23.4 deg, I = 92; 25.0 deg, I = 37; 26.6 deg, I = 100; 34.5 deg, I = 53; 41.2 deg, I = 67; 45.1 deg, I = 80; 48.8 deg, I = 52; 49.7 deg, I = 26; 70.7 deg, I = 29; 77.8 deg, I = 30

Crystal structure
```
Be8V3W
1.0
4.3866 0.0000 0.0000
-2.1933 3.7989 0.0000
0.0000 0.0000 7.1153
Be V W
8 3 1
Cartesian
0.0000 0.0000 0.0000 Be
0.0000 0.0000 3.5342 Be
0.0000 1.2998 5.3296 Be
-1.0676 3.1490 5.3296 Be
1.1265 0.6504 1.7546 Be
1.0676 3.1490 5.3296 Be
3.2601 0.6504 1.7546 Be
2.1933 2.4981 1.7546 Be
0.0000 2.5326 0.4667 V
0.0000 2.5326 3.0575 V
2.1933 1.2663 6.6368 V
2.1933 1.2663 4.0071 W
```


7.
The following is a calculated X-ray diffraction stick pattern of BeW3. It was derived from a GGA-PBE-relaxed structure, using Cu Kα X-rays.

Most intense lines, 15° ≤ 2θ ≤ 90°, low angle first:
21.4 deg, I = 26; 30.5 deg, I = 11; 34.0 deg, I = 16; 40.5 deg, I = 100; 43.6 deg, I = 41; 53.7 deg, I = 11; 63.4 deg, I = 14; 71.6 deg, I = 19; 78.0 deg, I = 30; 87.7 deg, I = 12

Crystal structure
```
BeW3
1.0
4.1496 0.0000 0.0000
0.0000 4.1496 0.0000
0.0000 0.0000 3.4138
Be W
1 3
Cartesian
0.0000 0.0000 0.0000 Be
0.0000 2.0748 1.7069 W
2.0748 0.0000 1.7069 W
2.0748 2.0748 0.0000 W
```


8.
The following is a calculated X-ray diffraction stick pattern of BeW7. It was derived from a GGA-PBE-relaxed structure, using Cu Kα X-rays.

Most intense lines, 15° ≤ 2θ ≤ 90°, low angle first:
19.3 deg, I = 11; 22.3 deg, I = 6; 31.8 deg, I = 5; 37.5 deg, I = 6; 39.2 deg, I = 100; 45.6 deg, I = 49; 49.9 deg, I = 3; 66.4 deg, I = 32; 80.0 deg, I = 39; 84.3 deg, I = 11

Crystal structure
```
BeW7
1.0
0.0000 3.9798 3.9798
3.9798 0.0000 3.9798
3.9798 3.9798 0.0000
Be W
1 7
Cartesian
0.0000 0.0000 0.0000 Be
1.9899 1.9899 0.0000 W
1.9899 0.0000 1.9899 W
3.9798 1.9899 1.9899 W
0.0000 1.9899 1.9899 W
1.9899 3.9798 1.9899 W
1.9899 1.9899 3.9798 W
3.9798 3.9798 3.9798 W
```